Starting from a DFT-relaxed cell (PBE, Alexandria), the powder diffraction line list of MgTcIr was simulated for Cu Kα (λ = 1.5418 Å).
Lines closer than 0.1° are merged.

Main lines, low angle first (10° ≤ 2θ ≤ 90°):
- hkl 0 0 2, 15.3°, rel. 73
- hkl 1 0 1, 32.5°, rel. 29
- hkl 1 0 3, 39.4°, rel. 100
- hkl 1 1 0, 45.3°, rel. 35
- hkl 1 0 5, 50.9°, rel. 20
- hkl 2 1 3, 79.6°, rel. 26

Structural model:
a = 2.834 Å, b = 2.834 Å, c = 11.599 Å
α = 90.00°, β = 90.00°, γ = 90.00°
Space group I4mm (No. 107)
Symmetry-distinct sites (fractional):
1 Mg 0.000 0.000 0.000 (multiplicity 2)
2 Tc 0.000 0.000 0.683 (multiplicity 2)
3 Ir 0.000 0.000 0.329 (multiplicity 2)

=====

Starting from a DFT-relaxed cell (PBE, Alexandria), the powder diffraction line list of Th2MgIr9 was simulated for Cu Kα (λ = 1.5418 Å).
Lines closer than 0.1° are merged.

Main lines, low angle first (10° ≤ 2θ ≤ 90°):
- hkl 1 0 1, 19.6°, rel. 33
- hkl 0 2 1, 39.3°, rel. 33
- hkl 1 1 6, 39.5°, rel. 100
- hkl 0 1 11, 41.9°, rel. 40
- hkl 2 0 5, 42.8°, rel. 68
- hkl 2 2 0, 71.0°, rel. 33

Structural model:
a = 5.3106 Å, b = 5.3106 Å, c = 26.8746 Å
α = 90.00°, β = 90.00°, γ = 120.00°
Space group R-3m (No. 166, hexagonal axes)
Symmetry-distinct sites (fractional):
1 Th 0.0000 0.0000 0.1358 (multiplicity 6)
2 Mg 0.0000 0.0000 0.0000 (multiplicity 3)
3 Ir 0.0000 0.0000 0.3325 (multiplicity 6)
4 Ir 0.0000 0.0000 0.5000 (multiplicity 3)
5 Ir 0.9999 0.4999 0.0812 (multiplicity 18)

=====

Starting from a DFT-relaxed cell (PBE, Alexandria), the powder diffraction line list of ThMg2Ir2 was simulated for Cu Kα (λ = 1.5418 Å).
Lines closer than 0.1° are merged.

Main lines, low angle first (10° ≤ 2θ ≤ 90°):
- hkl 0 0 1, 16.0°, rel. 100
- hkl 1 0 1, 27.1°, rel. 72
- hkl 1 1 0, 38.1°, rel. 91
- hkl 1 0 2, 39.2°, rel. 81
- hkl 1 1 1, 41.5°, rel. 58
- hkl 2 1 2, 69.6°, rel. 31

Structural model:
a = 4.7256 Å, b = 4.7256 Å, c = 5.5461 Å
α = 90.00°, β = 90.00°, γ = 120.00°
Space group P-3m1 (No. 164)
Symmetry-distinct sites (fractional):
1 Th 0.0000 0.0000 0.0000 (multiplicity 1)
2 Mg 0.3333 0.6667 0.3680 (multiplicity 2)
3 Ir 0.3333 0.6667 0.8512 (multiplicity 2)

=====

Starting from a DFT-relaxed cell (PBE, Alexandria), the powder diffraction line list of Mg3TiIr4 was simulated for Cu Kα (λ = 1.5418 Å).
Lines closer than 0.1° are merged.

Main lines, low angle first (10° ≤ 2θ ≤ 90°):
- hkl 0 0 2, 28.5°, rel. 33
- hkl 1 1 0, 28.8°, rel. 65
- hkl 1 1 2, 41.0°, rel. 100
- hkl 2 0 0, 41.2°, rel. 49
- hkl 2 0 2, 50.9°, rel. 28
- hkl 3 1 2, 75.0°, rel. 34

Structural model:
a = 4.378 Å, b = 4.378 Å, c = 6.260 Å
α = 90.00°, β = 90.00°, γ = 90.00°
Space group P4/mmm (No. 123)
Symmetry-distinct sites (fractional):
1 Mg 0.000 0.000 0.000 (multiplicity 1)
2 Mg 0.000 0.000 0.500 (multiplicity 1)
3 Mg 0.500 0.500 0.000 (multiplicity 1)
4 Ti 0.500 0.500 0.500 (multiplicity 1)
5 Ir 0.000 0.500 0.255 (multiplicity 4)